For HgAs2O, a cell relaxed with GGA-PBE gives the calculated PXRD pattern in this record (CuKα).

Principal peaks in the range 10° ≤ 2θ ≤ 80°, by angle:
2θ (°)  I/Imax
24.3  35
26.0  100
27.6  42
29.2  54
30.6  95
35.9  57
46.9  36
49.0  54

abc: 3.657 6.857 6.833
angles: 90.00 90.00 90.00
Atoms (fractional coordinates):
Hg (0.000, 0.188, 0.000)
Hg (0.000, 0.812, 0.500)
As (0.000, 0.188, 0.380)
As (0.000, 0.812, 0.880)
As (0.500, 0.379, 0.546)
As (0.500, 0.621, 0.046)
O (0.500, 0.263, 0.779)
O (0.500, 0.737, 0.279)

=====

For K3Nb2Cu3S8, a cell relaxed with GGA-PBE gives the calculated PXRD pattern in this record (CuKα).

Principal peaks in the range 10° ≤ 2θ ≤ 80°, by angle:
2θ (°)  I/Imax
12.4  27
14.3  100
16.0  37
17.5  25
30.5  34
35.4  28
43.8  29
44.9  27

abc: 12.135 12.135 14.376
angles: 119.84 119.84 26.51
Atoms (fractional coordinates):
K (0.000, 0.000, 0.000)
K (0.000, 0.000, 0.500)
K (0.272, 0.347, 0.906)
K (0.347, 0.272, 0.406)
K (0.653, 0.728, 0.594)
K (0.728, 0.653, 0.094)
Nb (0.156, 0.591, 0.220)
Nb (0.409, 0.844, 0.280)
Nb (0.591, 0.156, 0.720)
Nb (0.844, 0.409, 0.780)
Cu (0.095, 0.659, 0.719)
Cu (0.279, 0.721, 0.250)
Cu (0.341, 0.905, 0.781)
Cu (0.659, 0.095, 0.219)
Cu (0.721, 0.279, 0.750)
Cu (0.905, 0.341, 0.281)
S (0.044, 0.138, 0.874)
S (0.128, 0.186, 0.686)
S (0.138, 0.044, 0.374)
S (0.186, 0.128, 0.186)
S (0.257, 0.321, 0.608)
S (0.321, 0.257, 0.108)
S (0.442, 0.481, 0.840)
S (0.481, 0.442, 0.340)
S (0.519, 0.558, 0.660)
S (0.558, 0.519, 0.160)
S (0.679, 0.743, 0.892)
S (0.743, 0.679, 0.392)
S (0.814, 0.872, 0.814)
S (0.862, 0.956, 0.626)
S (0.872, 0.814, 0.314)
S (0.956, 0.862, 0.126)

=====

For Al7Pd3, a cell relaxed with GGA-PBE gives the calculated PXRD pattern in this record (CuKα).

Principal peaks in the range 10° ≤ 2θ ≤ 80°, by angle:
2θ (°)  I/Imax
20.3  32
24.9  74
35.5  21
43.8  100
48.7  12
51.0  18
63.7  20
69.5  14

abc: 7.593 7.593 7.593
angles: 109.47 109.47 109.47
Atoms (fractional coordinates):
Al (0.000, 0.000, 0.325)
Al (0.000, 0.000, 0.675)
Al (0.000, 0.325, 0.000)
Al (0.000, 0.675, 0.000)
Al (0.250, 0.500, 0.750)
Al (0.250, 0.750, 0.500)
Al (0.325, 0.000, 0.000)
Al (0.325, 0.325, 0.325)
Al (0.500, 0.250, 0.750)
Al (0.500, 0.750, 0.250)
Al (0.675, 0.000, 0.000)
Al (0.675, 0.675, 0.675)
Al (0.750, 0.250, 0.500)
Al (0.750, 0.500, 0.250)
Pd (0.000, 0.343, 0.343)
Pd (0.000, 0.657, 0.657)
Pd (0.343, 0.000, 0.343)
Pd (0.343, 0.343, 0.000)
Pd (0.657, 0.000, 0.657)
Pd (0.657, 0.657, 0.000)

=====

For PrNdAl6, a cell relaxed with GGA-PBE gives the calculated PXRD pattern in this record (CuKα).

Principal peaks in the range 10° ≤ 2θ ≤ 80°, by angle:
2θ (°)  I/Imax
25.0  95
27.2  48
31.5  26
37.3  100
39.3  21
46.7  23
48.4  20
62.4  20

abc: 6.553 6.553 4.588
angles: 90.00 90.00 120.00
Atoms (fractional coordinates):
Pr (0.000, 0.000, 0.000)
Nd (0.333, 0.667, 0.500)
Al (0.385, 0.193, 0.500)
Al (0.525, 0.050, 0.000)
Al (0.525, 0.475, 0.000)
Al (0.807, 0.193, 0.500)
Al (0.807, 0.615, 0.500)
Al (0.950, 0.475, 0.000)

=====

For Er3Co4Ge13, a cell relaxed with GGA-PBE gives the calculated PXRD pattern in this record (CuKα).

Principal peaks in the range 10° ≤ 2θ ≤ 80°, by angle:
2θ (°)  I/Imax
22.7  15
37.0  100
38.5  38
41.2  24
56.6  10
61.8  12
65.7  14
71.4  14

abc: 8.759 8.759 8.759
angles: 90.00 90.00 90.00
Atoms (fractional coordinates):
Er (0.000, 0.250, 0.500)
Er (0.000, 0.750, 0.500)
Er (0.250, 0.500, 0.000)
Er (0.500, 0.000, 0.250)
Er (0.500, 0.000, 0.750)
Er (0.750, 0.500, 0.000)
Co (0.250, 0.250, 0.250)
Co (0.250, 0.250, 0.750)
Co (0.250, 0.750, 0.250)
Co (0.250, 0.750, 0.750)
Co (0.750, 0.250, 0.250)
Co (0.750, 0.250, 0.750)
Co (0.750, 0.750, 0.250)
Co (0.750, 0.750, 0.750)
Ge (0.000, 0.000, 0.000)
Ge (0.000, 0.305, 0.153)
Ge (0.000, 0.305, 0.847)
Ge (0.000, 0.695, 0.153)
Ge (0.000, 0.695, 0.847)
Ge (0.153, 0.000, 0.305)
Ge (0.153, 0.000, 0.695)
Ge (0.195, 0.500, 0.347)
Ge (0.195, 0.500, 0.653)
Ge (0.305, 0.153, 0.000)
Ge (0.305, 0.847, 0.000)
Ge (0.347, 0.195, 0.500)
Ge (0.347, 0.805, 0.500)
Ge (0.500, 0.347, 0.195)
Ge (0.500, 0.347, 0.805)
Ge (0.500, 0.500, 0.500)
Ge (0.500, 0.653, 0.195)
Ge (0.500, 0.653, 0.805)
Ge (0.653, 0.195, 0.500)
Ge (0.653, 0.805, 0.500)
Ge (0.695, 0.153, 0.000)
Ge (0.695, 0.847, 0.000)
Ge (0.805, 0.500, 0.347)
Ge (0.805, 0.500, 0.653)
Ge (0.847, 0.000, 0.305)
Ge (0.847, 0.000, 0.695)

=====

For TbSmSiCl2, a cell relaxed with GGA-PBE gives the calculated PXRD pattern in this record (CuKα).

Principal peaks in the range 10° ≤ 2θ ≤ 80°, by angle:
2θ (°)  I/Imax
18.3  19
25.0  24
26.6  49
31.1  100
44.0  33
45.2  37
54.9  19
72.8  16

abc: 4.117 4.117 9.712
angles: 90.00 90.00 120.00
Atoms (fractional coordinates):
Tb (0.000, 0.000, 0.000)
Sm (0.667, 0.333, 0.338)
Si (0.333, 0.667, 0.166)
Cl (0.000, 0.000, 0.502)
Cl (0.667, 0.333, 0.841)

=====

For Pr2HoNi2B2N3, a cell relaxed with GGA-PBE gives the calculated PXRD pattern in this record (CuKα).

Principal peaks in the range 10° ≤ 2θ ≤ 80°, by angle:
2θ (°)  I/Imax
28.1  100
33.4  77
35.2  39
35.7  49
36.3  46
39.6  28
50.6  39
63.5  35

abc: 10.371 10.371 10.371
angles: 159.98 159.98 28.47
Atoms (fractional coordinates):
Pr (0.125, 0.125, 0.000)
Pr (0.875, 0.875, 0.000)
Ho (0.500, 0.500, 0.000)
Ni (0.250, 0.750, 0.500)
Ni (0.750, 0.250, 0.500)
B (0.309, 0.309, 0.000)
B (0.691, 0.691, 0.000)
N (0.000, 0.000, 0.000)
N (0.382, 0.382, 0.000)
N (0.618, 0.618, 0.000)